# BaP2O8
Computed PXRD pattern, Cu Kα. Input: a PBE-relaxed structure.
Peak positions follow from Bragg's law for the DFT cell and can differ from measured ones.

The 12 most intense peaks (2θ from 10° to 90°), low angle first:
- 11.6 deg, rel. 100.0
- 15.0 deg, rel. 93.0
- 20.1 deg, rel. 59.7
- 21.7 deg, rel. 36.9
- 23.1 deg, rel. 95.8
- 25.5 deg, rel. 37.2
- 26.4 deg, rel. 77.2
- 26.5 deg, rel. 47.6
- 26.8 deg, rel. 32.6
- 30.2 deg, rel. 40.7
- 30.4 deg, rel. 31.5
- 31.2 deg, rel. 34.3

Cell and atoms:
```
data_BaP2O8
_chemical_formula_sum 'Ba2 P4 O16'
_symmetry_space_group_name_H-M 'P -1'
_symmetry_Int_Tables_number 2
_cell_length_a 7.284
_cell_length_b 7.410
_cell_length_c 8.053
_cell_angle_alpha 104.41
_cell_angle_beta 97.57
_cell_angle_gamma 107.69
loop_
_symmetry_equiv_pos_as_xyz
'x,y,z'
'-x,-y,-z'
loop_
_atom_site_label
_atom_site_fract_x
_atom_site_fract_y
_atom_site_fract_z
Ba1 0.241 0.210 0.396
P1 0.212 0.298 0.925
P2 0.266 0.778 0.604
O1 0.032 0.106 0.873
O2 0.114 0.709 0.715
O3 0.143 0.849 0.479
O4 0.145 0.479 0.926
O5 0.328 0.340 0.112
O6 0.334 0.290 0.782
O7 0.335 0.612 0.511
O8 0.456 0.953 0.714
```